Structure and computed X-ray powder pattern of CeB2Pt2C (a crystal structure in the Materials Project, relaxed with PBE; Cu Kα X-rays).
Kinematic intensities with the Lorentz-polarization factor, no thermal factor.

Largest 8 diffraction maxima, by angle, 15 to 90 degrees two-theta:
16.33°, I = 36
24.66°, I = 14
33.00°, I = 33
37.12°, I = 100
47.49°, I = 38
59.06°, I = 25
61.65°, I = 24
81.47°, I = 21

Crystal structure
a = 6.067 Å, b = 6.067 Å, c = 6.067 Å
α = 143.22°, β = 143.22°, γ = 52.99°
Fractional coordinates of all 6 atoms:
Ce 0.000 0.000 0.000
B 0.363 0.363 0.000
B 0.637 0.637 0.000
Pt 0.250 0.750 0.500
Pt 0.750 0.250 0.500
C 0.500 0.500 0.000